Ca3PuU3N8: theoretical powder diffraction line list (CuKα), based on a crystal structure in Alexandria, relaxed with GGA-PBE.
No peak broadening, texture or thermal motion is included.

Main lines, in order of rising 2θ (2θ = 10–80°):
d 5.680, 2θ = 15.6°, rel. 100; d 2.978, 2θ = 30.0°, rel. 57; d 2.851, 2θ = 31.4°, rel. 74; d 2.840, 2θ = 31.5°, rel. 26; d 2.466, 2θ = 36.4°, rel. 74; d 2.262, 2θ = 39.8°, rel. 25; d 1.896, 2θ = 48.0°, rel. 24; d 1.746, 2θ = 52.4°, rel. 26; d 1.669, 2θ = 55.0°, rel. 25; d 1.488, 2θ = 62.4°, rel. 35

Structural model:
Cell: 6.966 6.966 6.966 Å, 60.18 60.18 60.18°
Fractional coordinates of all 15 atoms:
Ca 0.000 0.500 0.500
Ca 0.500 0.000 0.500
Ca 0.500 0.500 0.000
Pu 0.500 0.500 0.500
U 0.000 0.000 0.500
U 0.000 0.500 0.000
U 0.500 0.000 0.000
N 0.227 0.731 0.731
N 0.242 0.242 0.242
N 0.269 0.269 0.773
N 0.269 0.773 0.269
N 0.731 0.227 0.731
N 0.731 0.731 0.227
N 0.758 0.758 0.758
N 0.773 0.269 0.269

---

Ca2Re2N5: theoretical powder diffraction line list (CuKα), based on a crystal structure in Alexandria, relaxed with GGA-PBE.
No peak broadening, texture or thermal motion is included.

Main lines, in order of rising 2θ (2θ = 10–80°):
d 5.796, 2θ = 15.3°, rel. 67; d 4.573, 2θ = 19.4°, rel. 50; d 3.642, 2θ = 24.4°, rel. 30; d 2.984, 2θ = 29.9°, rel. 100; d 2.854, 2θ = 31.3°, rel. 41; d 2.778, 2θ = 32.2°, rel. 40; d 2.671, 2θ = 33.6°, rel. 28; d 2.596, 2θ = 34.6°, rel. 50; d 2.356, 2θ = 38.2°, rel. 32; d 1.928, 2θ = 47.1°, rel. 20

Structural model:
Cell: 6.027 6.027 5.957 Å, 102.64 102.64 37.31°
Fractional coordinates of all 9 atoms:
Ca 0.113 0.113 0.318
Ca 0.887 0.887 0.682
Re 0.358 0.358 0.132
Re 0.642 0.642 0.868
N 0.183 0.183 0.968
N 0.354 0.354 0.432
N 0.500 0.500 0.000
N 0.646 0.646 0.568
N 0.817 0.817 0.032